No. 1
This entry pairs a crystal structure of CuNiOs with its simulated PXRD pattern. Radiation: Cu Kα X-rays. Structure: a cell relaxed with PBE.

Largest 8 diffraction maxima, by angle, 15 to 90 degrees two-theta:
2theta  d_spacing  I (rel.)
17.99  4.931  23
30.26  2.953  13
42.52  2.126  100
49.41  1.844  16
49.55  1.840  31
72.58  1.303  24
87.81  1.112  12
87.92  1.111  12

```
data_CuNiOs
_symmetry_space_group_name_H-M 'P 1'
_symmetry_Int_Tables_number 1
_cell_length_a 4.5121
_cell_length_b 4.5121
_cell_length_c 5.1948
_cell_angle_alpha 106.69
_cell_angle_beta 106.69
_cell_angle_gamma 48.25
loop_
_symmetry_equiv_pos_as_xyz
'x,y,z'
loop_
_atom_site_label
_atom_site_type_symbol
_atom_site_fract_x
_atom_site_fract_y
_atom_site_fract_z
Cu1 Cu 0.0000 0.0000 0.0000
Cu2 Cu 0.6669 0.6669 0.8440
Ni1 Ni 0.3384 0.3384 0.1499
Ni2 Ni 0.6649 0.6649 0.3280
Os1 Os 0.3261 0.3261 0.6381
Os2 Os 0.9957 0.9957 0.4955
```

No. 2
This entry pairs a crystal structure of CuNi2Os with its simulated PXRD pattern. Radiation: Cu Kα X-rays. Structure: a cell relaxed with PBE.

Largest 8 diffraction maxima, by angle, 15 to 90 degrees two-theta:
2theta  d_spacing  I (rel.)
19.76  4.492  24
21.25  4.181  21
42.87  2.109  100
43.28  2.090  32
48.70  1.870  23
50.71  1.800  43
72.66  1.301  13
73.23  1.292  13

```
data_CuNi2Os
_symmetry_space_group_name_H-M 'P 1'
_symmetry_Int_Tables_number 1
_cell_length_a 4.4133
_cell_length_b 4.4133
_cell_length_c 4.5394
_cell_angle_alpha 97.90
_cell_angle_beta 97.90
_cell_angle_gamma 33.65
loop_
_symmetry_equiv_pos_as_xyz
'x,y,z'
loop_
_atom_site_label
_atom_site_type_symbol
_atom_site_fract_x
_atom_site_fract_y
_atom_site_fract_z
Cu1 Cu 0.0000 0.0000 0.0000
Ni1 Ni 0.2480 0.2480 0.7434
Ni2 Ni 0.7520 0.7520 0.2566
Os1 Os 0.5000 0.5000 0.5000
```

No. 3
This entry pairs a crystal structure of CuNiOs with its simulated PXRD pattern. Radiation: Cu Kα X-rays. Structure: a cell relaxed with PBE.

Largest 8 diffraction maxima, by angle, 15 to 90 degrees two-theta:
2theta  d_spacing  I (rel.)
20.71  4.288  28
42.14  2.144  35
42.66  2.119  100
49.37  1.846  43
49.81  1.831  21
72.42  1.305  13
73.10  1.295  13
87.81  1.112  12

```
data_CuNiOs
_symmetry_space_group_name_H-M 'P 1'
_symmetry_Int_Tables_number 1
_cell_length_a 4.4942
_cell_length_b 4.4942
_cell_length_c 4.5288
_cell_angle_alpha 99.22
_cell_angle_beta 99.22
_cell_angle_gamma 120.22
loop_
_symmetry_equiv_pos_as_xyz
'x,y,z'
loop_
_atom_site_label
_atom_site_type_symbol
_atom_site_fract_x
_atom_site_fract_y
_atom_site_fract_z
Cu1 Cu 0.1651 0.8349 0.0000
Cu2 Cu 0.8349 0.1651 0.0000
Ni1 Ni 0.0000 0.0000 0.5000
Ni2 Ni 0.5000 0.5000 0.0000
Os1 Os 0.3348 0.6652 0.5000
Os2 Os 0.6652 0.3348 0.5000
```

No. 4
This entry pairs a crystal structure of CuNi3P2 with its simulated PXRD pattern. Radiation: Cu Kα X-rays. Structure: a cell relaxed with PBE.

Largest 8 diffraction maxima, by angle, 15 to 90 degrees two-theta:
2theta  d_spacing  I (rel.)
34.82  2.577  53
39.30  2.292  27
40.90  2.206  100
41.67  2.167  31
47.91  1.899  35
48.93  1.861  20
49.32  1.848  47
52.14  1.754  46

```
data_CuNi3P2
_symmetry_space_group_name_H-M 'P 1'
_symmetry_Int_Tables_number 1
_cell_length_a 7.8073
_cell_length_b 7.8073
_cell_length_c 8.5378
_cell_angle_alpha 104.74
_cell_angle_beta 104.74
_cell_angle_gamma 25.97
loop_
_symmetry_equiv_pos_as_xyz
'x,y,z'
loop_
_atom_site_label
_atom_site_type_symbol
_atom_site_fract_x
_atom_site_fract_y
_atom_site_fract_z
Cu1 Cu 0.0000 0.0000 0.0000
Cu2 Cu 0.1340 0.1340 0.6696
Cu3 Cu 0.8660 0.8660 0.3304
Ni1 Ni 0.0367 0.0367 0.3172
Ni2 Ni 0.2172 0.2172 0.3923
Ni3 Ni 0.3162 0.3162 0.0484
Ni4 Ni 0.3898 0.3898 0.8154
Ni5 Ni 0.5000 0.5000 0.5000
Ni6 Ni 0.6102 0.6102 0.1846
Ni7 Ni 0.6838 0.6838 0.9516
Ni8 Ni 0.7828 0.7828 0.6077
Ni9 Ni 0.9633 0.9633 0.6828
P1 P 0.1900 0.1900 0.1258
P2 P 0.3616 0.3616 0.5386
P3 P 0.4543 0.4543 0.2070
P4 P 0.5457 0.5457 0.7930
P5 P 0.6384 0.6384 0.4614
P6 P 0.8100 0.8100 0.8742
```

Repeat the fourth record exactly.
This entry pairs a crystal structure of CuNi3P2 with its simulated PXRD pattern. Radiation: Cu Kα X-rays. Structure: a cell relaxed with PBE.

Largest 8 diffraction maxima, by angle, 15 to 90 degrees two-theta:
2theta  d_spacing  I (rel.)
34.82  2.577  53
39.30  2.292  27
40.90  2.206  100
41.67  2.167  31
47.91  1.899  35
48.93  1.861  20
49.32  1.848  47
52.14  1.754  46

```
data_CuNi3P2
_symmetry_space_group_name_H-M 'P 1'
_symmetry_Int_Tables_number 1
_cell_length_a 7.8073
_cell_length_b 7.8073
_cell_length_c 8.5378
_cell_angle_alpha 104.74
_cell_angle_beta 104.74
_cell_angle_gamma 25.97
loop_
_symmetry_equiv_pos_as_xyz
'x,y,z'
loop_
_atom_site_label
_atom_site_type_symbol
_atom_site_fract_x
_atom_site_fract_y
_atom_site_fract_z
Cu1 Cu 0.0000 0.0000 0.0000
Cu2 Cu 0.1340 0.1340 0.6696
Cu3 Cu 0.8660 0.8660 0.3304
Ni1 Ni 0.0367 0.0367 0.3172
Ni2 Ni 0.2172 0.2172 0.3923
Ni3 Ni 0.3162 0.3162 0.0484
Ni4 Ni 0.3898 0.3898 0.8154
Ni5 Ni 0.5000 0.5000 0.5000
Ni6 Ni 0.6102 0.6102 0.1846
Ni7 Ni 0.6838 0.6838 0.9516
Ni8 Ni 0.7828 0.7828 0.6077
Ni9 Ni 0.9633 0.9633 0.6828
P1 P 0.1900 0.1900 0.1258
P2 P 0.3616 0.3616 0.5386
P3 P 0.4543 0.4543 0.2070
P4 P 0.5457 0.5457 0.7930
P5 P 0.6384 0.6384 0.4614
P6 P 0.8100 0.8100 0.8742
```